The following is a theoretical XRD peak list of KLi2Sb2Au2. It was derived from a structure optimized by DFT (GGA-PBE), using Cu Kα, 1.54184 Å.
No peak broadening, texture or thermal motion is included.

Top 10 peaks for 2θ = 10–80°, sorted by position:
2θ (°), I (rel.), index
18.7, 67, 0 0 6
22.5, 84, 1 0 1
25.6, 74, 1 0 4
28.3, 42, 0 0 9
31.4, 34, 1 0 7
38.9, 69, 1 0 10
39.0, 100, 1 1 0
43.6, 47, 1 1 6
48.9, 57, 1 1 9
70.7, 42, 3 0 0

Structure:
```
data_KLi2Sb2Au2
_chemical_formula_sum 'K3 Li6 Sb6 Au6'
_cell_length_a 4.6152
_cell_length_b 4.6152
_cell_length_c 28.4032
_cell_angle_alpha 90.00
_cell_angle_beta 90.00
_cell_angle_gamma 120.00
_symmetry_space_group_name_H-M 'R -3 m'
_symmetry_Int_Tables_number 166
_symmetry_space_group_name_Hall '-R 3 2"'
loop_
_atom_site_label
_atom_site_type_symbol
_atom_site_fract_x
_atom_site_fract_y
_atom_site_fract_z
K1 K 0.0000 0.0000 0.0000
Li1 Li 0.0000 0.0000 0.1421
Sb1 Sb 0.0000 0.0000 0.2446
Au1 Au 0.0000 0.0000 0.4443
```